PrNdYAg: calculated XRD peak list (Cu Kα (weighted mean of Kα1 and Kα2)), based on a crystal structure in Alexandria, relaxed with GGA-PBE.
Kinematic intensities with the Lorentz-polarization factor, no thermal factor.

Structural model:
```
PrNdYAg
1.0
3.695 0.000 0.000
0.000 3.695 0.000
0.000 0.000 8.879
Pr Nd Y Ag
1 1 1 1
direct
0.000 0.000 0.000 Pr
0.500 0.500 0.706 Nd
0.500 0.500 0.290 Y
0.000 0.000 0.483 Ag
```

Most intense lines, 10° ≤ 2θ ≤ 80°, in order of falling intensity:
Position (°2θ)	I (rel.)	(hkl)
31.50	100	1 0 2
34.32	45	1 1 0
59.70	31	2 1 2
49.32	16	2 0 0
54.22	14	1 1 4
26.12	9	1 0 1
40.65	8	0 0 4
65.76	8	2 0 4
46.35	8	1 1 3
57.59	7	1 0 5